1.
Calculated X-ray powder pattern of CsRbSr2Au for copper Kα, from DFT lattice parameters and positions (GGA-PBE).
Intensities are scaled so that the largest is 100.

The 10 most intense peaks (2θ from 10° to 90°), by intensity:
2θ/deg	d [Å]	I_rel
28.31	3.153	100
37.91	2.373	92
18.69	4.747	88
24.69	3.606	70
47.98	1.896	47
34.14	2.626	41
40.47	2.229	38
19.91	4.458	37
23.46	3.792	36
14.05	6.305	33

Structural model:
```
data_CsRbSr2Au
_chemical_formula_sum 'Cs1 Rb1 Sr2 Au1'
_cell_length_a 6.305
_cell_length_b 6.305
_cell_length_c 7.212
_cell_angle_alpha 90.00
_cell_angle_beta 90.00
_cell_angle_gamma 90.00
_space_group_name_H-M_alt 'P 1'
_space_group_IT_number 1
loop_
_space_group_symop_operation_xyz
'x,y,z'
loop_
_atom_site_label
_atom_site_fract_x
_atom_site_fract_y
_atom_site_fract_z
Cs1 0.000 0.000 0.000
Rb1 0.500 0.500 0.000
Sr1 0.000 0.500 0.500
Sr2 0.500 0.000 0.500
Au1 0.500 0.500 0.500
```



2.
Calculated X-ray powder pattern of Dy12Er5Tm for copper Kα, from DFT lattice parameters and positions (GGA-PBE).
Intensities are scaled so that the largest is 100.

The 10 most intense peaks (2θ from 10° to 90°), by intensity:
2θ/deg	d [Å]	I_rel
32.42	2.761	100
34.12	2.628	91
30.49	2.932	90
31.34	2.854	88
61.78	1.502	76
51.77	1.766	65
37.17	2.419	51
88.00	1.110	39
31.69	2.823	34
35.07	2.559	26

Structural model:
```
data_Dy12Er5Tm
_chemical_formula_sum 'Dy12 Er5 Tm1'
_cell_length_a 6.118
_cell_length_b 6.118
_cell_length_c 17.243
_cell_angle_alpha 93.37
_cell_angle_beta 93.37
_cell_angle_gamma 120.00
_space_group_name_H-M_alt 'P 1'
_space_group_IT_number 1
loop_
_space_group_symop_operation_xyz
'x,y,z'
loop_
_atom_site_label
_atom_site_fract_x
_atom_site_fract_y
_atom_site_fract_z
Dy1 0.056 0.389 0.166
Dy2 0.111 0.111 0.333
Dy3 0.222 0.555 0.667
Dy4 0.278 0.278 0.834
Dy5 0.389 0.056 0.166
Dy6 0.445 0.778 0.333
Dy7 0.555 0.222 0.667
Dy8 0.611 0.944 0.834
Dy9 0.722 0.722 0.166
Dy10 0.778 0.445 0.333
Dy11 0.889 0.889 0.667
Dy12 0.944 0.611 0.834
Er1 0.167 0.833 0.500
Er2 0.333 0.667 0.000
Er3 0.500 0.500 0.500
Er4 0.667 0.333 0.000
Er5 0.833 0.167 0.500
Tm1 0.000 0.000 0.000
```



3.
Calculated X-ray powder pattern of LaSc2Nb for copper Kα, from DFT lattice parameters and positions (GGA-PBE).
Intensities are scaled so that the largest is 100.

The 10 most intense peaks (2θ from 10° to 90°), by intensity:
2θ/deg	d [Å]	I_rel
34.89	2.572	100
62.56	1.485	35
24.47	3.637	24
50.16	1.819	17
84.17	1.150	15
73.67	1.286	10
56.58	1.627	10
43.08	2.100	7
78.97	1.212	5
21.15	4.200	4

Structural model:
```
data_LaSc2Nb
_chemical_formula_sum 'La1 Sc2 Nb1'
_cell_length_a 5.144
_cell_length_b 5.144
_cell_length_c 5.144
_cell_angle_alpha 60.00
_cell_angle_beta 60.00
_cell_angle_gamma 60.00
_space_group_name_H-M_alt 'P 1'
_space_group_IT_number 1
loop_
_space_group_symop_operation_xyz
'x,y,z'
loop_
_atom_site_label
_atom_site_fract_x
_atom_site_fract_y
_atom_site_fract_z
La1 0.000 0.000 0.000
Sc1 0.250 0.250 0.250
Sc2 0.750 0.750 0.750
Nb1 0.500 0.500 0.500
```



4.
Calculated X-ray powder pattern of Hg7Cl2O3 for copper Kα, from DFT lattice parameters and positions (GGA-PBE).
Intensities are scaled so that the largest is 100.

The 10 most intense peaks (2θ from 10° to 90°), by intensity:
2θ/deg	d [Å]	I_rel
27.42	3.252	100
28.44	3.138	84
16.37	5.414	52
32.86	2.725	46
26.91	3.314	46
35.67	2.517	42
55.51	1.656	40
29.41	3.037	40
28.21	3.164	37
33.27	2.693	31

Structural model:
```
data_Hg7Cl2O3
_chemical_formula_sum 'Hg28 Cl8 O12'
_cell_length_a 6.649
_cell_length_b 11.951
_cell_length_c 14.916
_cell_angle_alpha 90.00
_cell_angle_beta 90.00
_cell_angle_gamma 90.00
_space_group_name_H-M_alt 'P 1'
_space_group_IT_number 1
loop_
_space_group_symop_operation_xyz
'x,y,z'
loop_
_atom_site_label
_atom_site_fract_x
_atom_site_fract_y
_atom_site_fract_z
Hg1 0.000 0.000 0.000
Hg2 0.000 0.000 0.500
Hg3 0.000 0.500 0.000
Hg4 0.000 0.500 0.500
Hg5 0.140 0.040 0.250
Hg6 0.140 0.460 0.750
Hg7 0.154 0.240 0.750
Hg8 0.154 0.260 0.250
Hg9 0.326 0.708 0.630
Hg10 0.326 0.708 0.870
Hg11 0.326 0.792 0.130
Hg12 0.326 0.792 0.370
Hg13 0.466 0.118 0.078
Hg14 0.466 0.118 0.422
Hg15 0.466 0.382 0.578
Hg16 0.466 0.382 0.922
Hg17 0.534 0.618 0.078
Hg18 0.534 0.618 0.422
Hg19 0.534 0.882 0.578
Hg20 0.534 0.882 0.922
Hg21 0.674 0.208 0.630
Hg22 0.674 0.208 0.870
Hg23 0.674 0.292 0.130
Hg24 0.674 0.292 0.370
Hg25 0.846 0.740 0.750
Hg26 0.846 0.760 0.250
Hg27 0.860 0.540 0.250
Hg28 0.860 0.960 0.750
Cl1 0.073 0.250 0.000
Cl2 0.073 0.250 0.500
Cl3 0.319 0.050 0.750
Cl4 0.319 0.450 0.250
Cl5 0.681 0.550 0.750
Cl6 0.681 0.950 0.250
Cl7 0.927 0.750 0.000
Cl8 0.927 0.750 0.500
O1 0.155 0.638 0.750
O2 0.155 0.862 0.250
O3 0.284 0.530 0.552
O4 0.284 0.530 0.948
O5 0.284 0.970 0.052
O6 0.284 0.970 0.448
O7 0.716 0.030 0.552
O8 0.716 0.030 0.948
O9 0.716 0.470 0.052
O10 0.716 0.470 0.448
O11 0.845 0.138 0.750
O12 0.845 0.362 0.250
```